# 1
Structure and theoretical powder diffraction line list of Tl6In3I14 (DFT lattice parameters and positions (GGA-PBE); Cu Kα (λ = 1.5418 Å)).

Top 10 peaks for 5 to 70 degrees two-theta, sorted by position:
hkl, d/Å, 2θ (°), Rel. int.
2 0 1, 4.397, 20.20, 652
3 -2 1, 3.635, 24.49, 739
1 0 2, 3.391, 26.28, 557
0 3 1, 3.303, 27.00, 657
2 2 0, 3.229, 27.63, 846
1 1 2, 3.116, 28.65, 497
3 1 0, 3.102, 28.78, 1000
0 2 2, 3.002, 29.76, 959
1 3 1, 2.844, 31.46, 728
1 2 2, 2.722, 32.90, 423

Structure:
Lattice parameters (Å, degrees): 12.9154 12.9154 7.1160 90.00 90.00 120.00
Space group P3 (No. 143)
Unique sites:
Tl 0.0077 0.4570 0.0000 [3 per cell]
Tl 0.3254 0.2128 0.4909 [3 per cell]
In 0.0000 0.0000 0.0917 [1 per cell]
In 0.3333 0.6667 0.6006 [1 per cell]
In 0.6667 0.3333 0.7319 [1 per cell]
I 0.0000 0.0000 0.7064 [1 per cell]
I 0.0817 0.2287 0.2308 [3 per cell]
I 0.1899 0.7526 0.7384 [3 per cell]
I 0.3333 0.6667 0.2152 [1 per cell]
I 0.4280 0.2474 0.9702 [3 per cell]
I 0.5113 0.0944 0.4957 [3 per cell]


# 2
Structure and theoretical powder diffraction line list of TlInI (DFT lattice parameters and positions (GGA-PBE); Cu Kα (λ = 1.5418 Å)).

Top 10 peaks for 5 to 70 degrees two-theta, sorted by position:
hkl, d/Å, 2θ (°), Rel. int.
0 0 1, 10.558, 8.37, 275
0 0 2, 5.279, 16.79, 314
1 1 0, 4.537, 19.56, 296
1 1 -1, 4.404, 20.16, 439
1 1 2, 3.221, 27.70, 387
1 1 -3, 2.996, 29.82, 853
2 0 2, 2.982, 29.97, 420
0 2 0, 2.657, 33.73, 517
3 1 -1, 2.626, 34.14, 1000
1 1 3, 2.606, 34.41, 363

Structure:
Lattice parameters (Å, degrees): 9.062 5.315 10.981 90.00 105.96 90.00
Space group Cm (No. 8)
Unique sites:
Tl 0.000 0.000 0.000 [2 per cell]
Tl 0.130 0.000 0.383 [2 per cell]
In 0.013 0.500 0.537 [2 per cell]
In 0.344 0.500 0.523 [2 per cell]
I 0.108 0.500 0.826 [2 per cell]
I 0.234 0.500 0.204 [2 per cell]


# 3
Structure and theoretical powder diffraction line list of Tl4InI6 (DFT lattice parameters and positions (GGA-PBE); Cu Kα (λ = 1.5418 Å)).

Top 10 peaks for 5 to 70 degrees two-theta, sorted by position:
hkl, d/Å, 2θ (°), Rel. int.
2 2 0, 3.366, 26.48, 84
2 1 2, 3.215, 27.75, 1000
1 0 3, 3.092, 28.88, 85
3 1 0, 3.010, 29.68, 478
0 0 4, 2.452, 36.65, 131
4 2 0, 2.128, 42.48, 117
4 1 2, 2.089, 43.32, 168
3 1 4, 1.901, 47.85, 152
5 2 2, 1.663, 55.24, 139
2 1 6, 1.526, 60.69, 112

Structure:
Lattice parameters (Å, degrees): 9.519 9.519 9.807 90.00 90.00 90.00
Space group P4/mnc (No. 128)
Unique sites:
Tl 0.161 0.339 0.250 [8 per cell]
In 0.000 0.000 0.000 [2 per cell]
I 0.000 0.000 0.310 [4 per cell]
I 0.127 0.684 0.000 [8 per cell]


# 4
Structure and theoretical powder diffraction line list of UTlIn2I6 (DFT lattice parameters and positions (GGA-PBE); Cu Kα (λ = 1.5418 Å)).

Top 10 peaks for 5 to 70 degrees two-theta, sorted by position:
hkl, d/Å, 2θ (°), Rel. int.
0 1 1, 6.244, 14.18, 603
1 1 2, 4.517, 19.65, 335
2 1 0, 3.750, 23.73, 880
0 2 2, 3.122, 28.59, 371
1 -1 2, 2.844, 31.46, 1000
3 1 0, 2.530, 35.47, 307
3 3 2, 2.494, 36.01, 629
2 1 4, 2.176, 41.51, 211
4 2 4, 1.875, 48.55, 251
4 -1 3, 1.499, 61.90, 177

Structure:
Lattice parameters (Å, degrees): 8.637 8.638 9.048 61.53 61.56 60.07
Space group P1 (No. 1)
Unique sites:
U 0.000 0.000 0.000 [1 per cell]
Tl 0.492 0.493 0.522 [1 per cell]
In 0.196 0.196 0.412 [1 per cell]
In 0.686 0.686 0.942 [1 per cell]
I 0.090 0.800 0.740 [1 per cell]
I 0.248 0.642 0.222 [1 per cell]
I 0.370 0.091 0.740 [1 per cell]
I 0.642 0.888 0.222 [1 per cell]
I 0.801 0.370 0.739 [1 per cell]
I 0.888 0.248 0.222 [1 per cell]


# 5
Structure and theoretical powder diffraction line list of U2In5I12 (DFT lattice parameters and positions (GGA-PBE); Cu Kα (λ = 1.5418 Å)).

Top 10 peaks for 5 to 70 degrees two-theta, sorted by position:
hkl, d/Å, 2θ (°), Rel. int.
2 0 -1, 8.397, 10.54, 334
4 0 -1, 4.773, 18.59, 308
2 2 -2, 3.459, 25.76, 477
0 2 2, 3.431, 25.97, 1000
4 2 0, 3.194, 27.94, 427
6 0 0, 3.027, 29.51, 511
4 2 1, 2.878, 31.08, 406
2 0 -4, 2.815, 31.79, 325
6 2 -2, 2.552, 35.17, 312
0 4 0, 2.243, 40.21, 354

Structure:
Lattice parameters (Å, degrees): 19.218 8.972 11.266 90.00 109.10 90.00
Space group C2/m (No. 12)
Unique sites:
U 0.000 0.247 0.000 [4 per cell]
In 0.000 0.500 0.500 [2 per cell]
In 0.181 0.000 0.774 [4 per cell]
In 0.217 0.000 0.376 [4 per cell]
I 0.003 0.500 0.191 [4 per cell]
I 0.005 0.000 0.199 [4 per cell]
I 0.143 0.246 0.552 [8 per cell]
I 0.164 0.241 0.079 [8 per cell]


# 6
Structure and theoretical powder diffraction line list of V2InI6 (DFT lattice parameters and positions (GGA-PBE); Cu Kα (λ = 1.5418 Å)).

Top 10 peaks for 5 to 70 degrees two-theta, sorted by position:
hkl, d/Å, 2θ (°), Rel. int.
1 0 1, 4.819, 18.41, 263
0 0 2, 3.710, 23.99, 136
2 -1 1, 3.282, 27.17, 1000
2 0 0, 3.169, 28.16, 125
1 1 2, 2.605, 34.43, 531
2 1 1, 2.280, 39.53, 175
3 0 0, 2.113, 42.80, 273
2 -1 3, 2.049, 44.20, 198
2 2 1, 1.776, 51.44, 116
4 -1 1, 1.710, 53.58, 136

Structure:
Lattice parameters (Å, degrees): 7.3184 7.3184 7.4197 90.00 90.00 120.00
Space group P-31m (No. 162)
Unique sites:
V 0.3333 0.6667 0.0000 [2 per cell]
In 0.0000 0.0000 0.5000 [1 per cell]
I 0.0000 0.3745 0.7848 [6 per cell]


# 7
Structure and theoretical powder diffraction line list of Y2InI (DFT lattice parameters and positions (GGA-PBE); Cu Kα (λ = 1.5418 Å)).

Top 10 peaks for 5 to 70 degrees two-theta, sorted by position:
hkl, d/Å, 2θ (°), Rel. int.
1 0 1, 3.279, 27.19, 139
0 1 2, 3.214, 27.76, 339
0 1 5, 2.842, 31.47, 1000
1 0 7, 2.544, 35.29, 674
0 0 12, 2.327, 38.70, 260
1 1 0, 1.907, 47.70, 424
2 0 5, 1.583, 58.27, 165
0 2 7, 1.526, 60.71, 134
1 1 12, 1.475, 63.04, 358
0 1 17, 1.470, 63.24, 138

Structure:
Lattice parameters (Å, degrees): 3.8131 3.8131 27.9186 90.00 90.00 120.00
Space group R3m (No. 160, hexagonal axes)
Unique sites:
Y 0.0000 0.0000 0.0000 [3 per cell]
Y 0.0000 0.0000 0.1692 [3 per cell]
In 0.0000 0.0000 0.5849 [3 per cell]
I 0.0000 0.0000 0.4171 [3 per cell]


# 8
Structure and theoretical powder diffraction line list of Y2In5I12 (DFT lattice parameters and positions (GGA-PBE); Cu Kα (λ = 1.5418 Å)).

Top 10 peaks for 5 to 70 degrees two-theta, sorted by position:
hkl, d/Å, 2θ (°), Rel. int.
1 1 -2, 4.617, 19.22, 457
2 2 -2, 3.397, 26.23, 1000
0 2 2, 3.349, 26.62, 873
6 0 -1, 3.165, 28.19, 354
4 2 0, 3.153, 28.31, 941
6 0 0, 2.977, 30.02, 424
4 2 1, 2.824, 31.69, 355
2 0 -4, 2.700, 33.19, 702
6 2 -3, 2.342, 38.45, 514
0 4 0, 2.225, 40.54, 550

Structure:
Lattice parameters (Å, degrees): 19.018 8.903 10.822 90.00 110.08 90.00
Space group C2/m (No. 12)
Unique sites:
Y 0.000 0.245 0.000 [4 per cell]
In 0.000 0.500 0.500 [2 per cell]
In 0.181 0.000 0.821 [4 per cell]
In 0.227 0.000 0.369 [4 per cell]
I 0.005 0.500 0.194 [4 per cell]
I 0.009 0.000 0.206 [4 per cell]
I 0.127 0.258 0.568 [8 per cell]
I 0.167 0.239 0.088 [8 per cell]


# 9
Structure and theoretical powder diffraction line list of La3IrI2 (DFT lattice parameters and positions (GGA-PBE); Cu Kα (λ = 1.5418 Å)).

Top 10 peaks for 5 to 70 degrees two-theta, sorted by position:
hkl, d/Å, 2θ (°), Rel. int.
0 0 2, 7.608, 11.63, 110
0 1 1, 5.910, 14.99, 98
0 2 0, 3.207, 27.82, 1000
0 1 5, 2.749, 32.57, 103
1 1 4, 2.567, 34.95, 107
1 2 3, 2.268, 39.74, 466
2 0 0, 2.071, 43.72, 115
2 2 0, 1.740, 52.61, 134
0 4 0, 1.604, 57.47, 86
1 4 3, 1.434, 65.03, 157

Structure:
Lattice parameters (Å, degrees): 4.141 6.413 15.216 90.00 90.00 90.00
Space group Immm (No. 71)
Unique sites:
La 0.000 0.000 0.000 [2 per cell]
La 0.000 0.000 0.378 [4 per cell]
Ir 0.000 0.500 0.000 [2 per cell]
I 0.000 0.500 0.317 [4 per cell]


# 10
Structure and theoretical powder diffraction line list of La6TcIr2I3 (DFT lattice parameters and positions (GGA-PBE); Cu Kα (λ = 1.5418 Å)).

Top 10 peaks for 5 to 70 degrees two-theta, sorted by position:
hkl, d/Å, 2θ (°), Rel. int.
0 0 1, 8.235, 10.74, 222
2 0 -2, 3.160, 28.24, 1000
1 3 2, 2.547, 35.24, 135
1 3 -3, 2.365, 38.05, 287
0 6 0, 2.124, 42.57, 377
0 0 4, 2.057, 44.01, 72
2 0 3, 1.917, 47.43, 84
2 6 -2, 1.763, 51.87, 183
4 0 -4, 1.580, 58.40, 82
5 3 -3, 1.356, 69.27, 152

Structure:
Lattice parameters (Å, degrees): 7.357 12.743 8.593 90.00 106.59 90.00
Space group C2/m (No. 12)
Unique sites:
La 0.225 0.164 0.185 [8 per cell]
La 0.234 0.500 0.186 [4 per cell]
Tc 0.000 0.000 0.000 [2 per cell]
Ir 0.000 0.333 0.000 [4 per cell]
I 0.000 0.165 0.500 [4 per cell]
I 0.000 0.500 0.500 [2 per cell]


# 11
Structure and theoretical powder diffraction line list of LiIrI2O (DFT lattice parameters and positions (GGA-PBE); Cu Kα (λ = 1.5418 Å)).

Top 10 peaks for 5 to 70 degrees two-theta, sorted by position:
hkl, d/Å, 2θ (°), Rel. int.
1 0 0, 5.705, 15.53, 1000
0 0 1, 3.770, 23.60, 821
1 0 1, 3.145, 28.38, 368
2 0 0, 2.852, 31.36, 982
2 1 0, 2.551, 35.18, 272
2 0 1, 2.275, 39.62, 852
2 1 1, 2.113, 42.80, 252
2 2 0, 2.017, 44.94, 360
2 2 1, 1.778, 51.38, 405
2 0 2, 1.573, 58.71, 322

Structure:
Lattice parameters (Å, degrees): 5.705 5.705 3.770 90.00 90.00 90.00
Space group P4/mmm (No. 123)
Unique sites:
Li 0.000 0.000 0.000 [1 per cell]
Ir 0.500 0.500 0.500 [1 per cell]
I 0.000 0.500 0.500 [2 per cell]
O 0.500 0.500 0.000 [1 per cell]


# 12
Structure and theoretical powder diffraction line list of Rb2MgIrI6 (DFT lattice parameters and positions (GGA-PBE); Cu Kα (λ = 1.5418 Å)).

Top 10 peaks for 5 to 70 degrees two-theta, sorted by position:
hkl, d/Å, 2θ (°), Rel. int.
1 0 1, 6.636, 13.34, 449
1 1 0, 5.747, 15.42, 483
1 0 3, 3.466, 25.71, 140
2 0 2, 3.318, 26.87, 1000
2 2 0, 2.877, 31.09, 875
0 0 4, 2.868, 31.19, 435
1 1 4, 2.570, 34.91, 244
2 2 4, 2.032, 44.59, 944
4 2 2, 1.734, 52.79, 279
4 0 4, 1.659, 55.38, 324

Structure:
Lattice parameters (Å, degrees): 8.136 8.136 11.470 90.00 90.00 90.00
Space group I4/mmm (No. 139)
Unique sites:
Rb 0.000 0.500 0.250 [4 per cell]
Mg 0.000 0.000 0.000 [2 per cell]
Ir 0.000 0.000 0.500 [2 per cell]
I 0.000 0.000 0.260 [4 per cell]
I 0.239 0.239 0.500 [8 per cell]


# 13
Structure and theoretical powder diffraction line list of Pr8Ir3I4N (DFT lattice parameters and positions (GGA-PBE); Cu Kα (λ = 1.5418 Å)).

Top 10 peaks for 5 to 70 degrees two-theta, sorted by position:
hkl, d/Å, 2θ (°), Rel. int.
0 0 1, 8.143, 10.87, 236
4 0 0, 3.103, 28.77, 1000
0 0 3, 2.713, 33.02, 78
2 2 -3, 2.507, 35.82, 149
2 2 2, 2.329, 38.65, 255
6 2 -2, 2.080, 43.51, 381
2 2 3, 1.890, 48.13, 86
4 4 0, 1.727, 53.04, 118
6 2 -5, 1.651, 55.67, 74
4 0 -6, 1.570, 58.80, 84

Structure:
Lattice parameters (Å, degrees): 14.429 8.310 9.461 90.00 120.61 90.00
Space group C2/m (No. 12)
Unique sites:
Pr 0.020 0.236 0.323 [8 per cell]
Pr 0.218 0.000 0.678 [4 per cell]
Pr 0.229 0.500 0.688 [4 per cell]
Ir 0.000 0.500 0.500 [2 per cell]
Ir 0.250 0.250 0.500 [4 per cell]
I 0.000 0.000 0.000 [2 per cell]
I 0.000 0.500 0.000 [2 per cell]
I 0.250 0.250 0.000 [4 per cell]
N 0.000 0.000 0.500 [2 per cell]